1.
For RbLi, a GGA-PBE-relaxed structure gives the computed powder diffractogram in this record (copper Kα).
Peak positions follow from Bragg's law for the DFT cell and can differ from measured ones.

Top 12 peaks for 10 to 90 degrees two-theta, by angle:
12.4 deg, 7.125 Å, intensity 43.1
20.0 deg, 4.449 Å, intensity 32.2
20.9 deg, 4.250 Å, intensity 57.7
22.1 deg, 4.028 Å, intensity 31.4
23.7 deg, 3.759 Å, intensity 100.0
24.2 deg, 3.672 Å, intensity 51.7
25.0 deg, 3.563 Å, intensity 72.3
29.2 deg, 3.061 Å, intensity 28.1
29.9 deg, 2.986 Å, intensity 28.3
30.6 deg, 2.924 Å, intensity 24.8
40.3 deg, 2.241 Å, intensity 38.2
44.1 deg, 2.055 Å, intensity 30.5

```
data_RbLi
_space_group_name_H-M_alt 'I m m 2'
_space_group_IT_number 44
_space_group_name_Hall 'I 2 -2'
_cell_length_a 5.031
_cell_length_b 16.110
_cell_length_c 7.945
_cell_angle_alpha 90.00
_cell_angle_beta 90.00
_cell_angle_gamma 90.00
loop_
_atom_site_label
_atom_site_type_symbol
_atom_site_fract_x
_atom_site_fract_y
_atom_site_fract_z
Rb1 Rb 0.000 0.000 0.000
Rb2 Rb 0.000 0.285 0.271
Li1 Li 0.000 0.000 0.490
Li2 Li 0.000 0.409 0.854
```



2.
For Cd2AgBi, a GGA-PBE-relaxed structure gives the computed powder diffractogram in this record (copper Kα).
Peak positions follow from Bragg's law for the DFT cell and can differ from measured ones.

Top 12 peaks for 10 to 90 degrees two-theta, by angle:
29.2 deg, 3.056 Å, intensity 11.3
29.7 deg, 3.006 Å, intensity 7.4
34.0 deg, 2.636 Å, intensity 100.0
39.2 deg, 2.297 Å, intensity 36.9
40.0 deg, 2.255 Å, intensity 12.2
50.0 deg, 1.825 Å, intensity 7.2
56.7 deg, 1.624 Å, intensity 12.3
57.3 deg, 1.609 Å, intensity 16.8
58.5 deg, 1.577 Å, intensity 7.1
67.8 deg, 1.383 Å, intensity 26.3
68.8 deg, 1.364 Å, intensity 6.2
71.6 deg, 1.318 Å, intensity 8.6

```
data_Cd2AgBi
_space_group_name_H-M_alt 'P 4/m m m'
_space_group_IT_number 123
_space_group_name_Hall '-P 4 2'
_cell_length_a 3.248
_cell_length_b 3.248
_cell_length_c 9.019
_cell_angle_alpha 90.00
_cell_angle_beta 90.00
_cell_angle_gamma 90.00
loop_
_atom_site_label
_atom_site_type_symbol
_atom_site_fract_x
_atom_site_fract_y
_atom_site_fract_z
Cd1 Cd 0.000 0.000 0.213
Ag1 Ag 0.500 0.500 0.000
Bi1 Bi 0.500 0.500 0.500
```



3.
For Ta3I7, a GGA-PBE-relaxed structure gives the computed powder diffractogram in this record (copper Kα).
Peak positions follow from Bragg's law for the DFT cell and can differ from measured ones.

Top 12 peaks for 10 to 90 degrees two-theta, by angle:
10.5 deg, 8.400 Å, intensity 100.0
11.0 deg, 8.078 Å, intensity 21.0
26.0 deg, 3.421 Å, intensity 15.0
26.8 deg, 3.327 Å, intensity 6.5
29.4 deg, 3.037 Å, intensity 9.6
33.4 deg, 2.687 Å, intensity 31.0
38.3 deg, 2.352 Å, intensity 5.9
38.7 deg, 2.328 Å, intensity 6.7
39.5 deg, 2.281 Å, intensity 5.7
41.7 deg, 2.168 Å, intensity 8.4
42.0 deg, 2.149 Å, intensity 7.0
47.8 deg, 1.904 Å, intensity 5.7

```
data_Ta3I7
_space_group_name_H-M_alt 'C m c e'
_space_group_IT_number 64
_space_group_name_Hall '-C 2ac 2'
_cell_length_a 15.230
_cell_length_b 16.156
_cell_length_c 12.876
_cell_angle_alpha 90.00
_cell_angle_beta 90.00
_cell_angle_gamma 90.00
loop_
_atom_site_label
_atom_site_type_symbol
_atom_site_fract_x
_atom_site_fract_y
_atom_site_fract_z
Ta1 Ta 0.000 0.096 0.068
Ta2 Ta 0.103 0.047 0.894
I1 I 0.000 0.118 0.735
I2 I 0.122 0.093 0.234
I3 I 0.123 0.207 0.979
I4 I 0.243 0.000 0.500
I5 I 0.250 0.124 0.750
```



4.
For PuNp3U2As6, a GGA-PBE-relaxed structure gives the computed powder diffractogram in this record (copper Kα).
Peak positions follow from Bragg's law for the DFT cell and can differ from measured ones.

Top 12 peaks for 10 to 90 degrees two-theta, by angle:
26.5 deg, 3.366 Å, intensity 23.5
26.6 deg, 3.351 Å, intensity 11.6
26.8 deg, 3.322 Å, intensity 11.4
30.8 deg, 2.902 Å, intensity 100.0
43.8 deg, 2.067 Å, intensity 12.9
44.0 deg, 2.059 Å, intensity 25.5
44.3 deg, 2.045 Å, intensity 25.0
44.4 deg, 2.039 Å, intensity 12.4
54.5 deg, 1.683 Å, intensity 13.7
64.2 deg, 1.451 Å, intensity 12.7
72.7 deg, 1.301 Å, intensity 11.9
73.1 deg, 1.294 Å, intensity 11.7

```
data_PuNp3U2As6
_space_group_name_H-M_alt 'C 1 2/m 1'
_space_group_IT_number 12
_space_group_name_Hall '-C 2y'
_cell_length_a 7.060
_cell_length_b 12.401
_cell_length_c 7.122
_cell_angle_alpha 90.00
_cell_angle_beta 109.79
_cell_angle_gamma 90.00
loop_
_atom_site_label
_atom_site_type_symbol
_atom_site_fract_x
_atom_site_fract_y
_atom_site_fract_z
Pu1 Pu 0.000 0.000 0.000
Np1 Np 0.000 0.166 0.500
Np2 Np 0.000 0.500 0.500
U1 U 0.000 0.333 0.000
As1 As 0.248 0.500 0.249
As2 As 0.250 0.168 0.249
```